Mg2VGa3S8: theoretical PXRD pattern (Cu Kα (weighted mean of Kα1 and Kα2)), based on a PBE-relaxed structure.
Neutral-atom scattering factors, no anomalous dispersion.

Crystal structure
Unit cell a=7.3243 b=7.3243 c=17.9628 alpha=90.00 beta=90.00 gamma=120.00
Space group R-3m (No. 166, hexagonal axes)
One atom of each set of equivalent atoms:
1 Mg 0.0000 0.0000 0.1252
2 V 0.0000 0.0000 0.5000
3 Ga 0.0000 0.5000 0.0000
4 S 0.0000 0.0000 0.2613
5 S 0.0323 0.5161 0.2517

The 10 most intense peaks (10° ≤ 2θ ≤ 90°), low angle first:
2θ (°)  I/Imax  h k l
14.81  81.0  0 0 3
28.57  80.2  0 2 1
34.63  100.0  0 2 4
45.48  47.0  0 2 7
49.78  94.7  2 0 8
52.23  16.8  2 2 3
62.05  19.9  0 0 12
69.70  15.6  4 0 7
73.05  13.3  0 4 8
83.43  23.7  2 2 12

---

MnV5Os2: theoretical PXRD pattern (Cu Kα (weighted mean of Kα1 and Kα2)), based on a PBE-relaxed structure.
Neutral-atom scattering factors, no anomalous dispersion.

Crystal structure
Unit cell a=4.1937 b=4.1937 c=11.9600 alpha=90.00 beta=90.00 gamma=90.00
Space group I4/mmm (No. 139)
One atom of each set of equivalent atoms:
1 Mn 0.0000 0.0000 0.0000
2 V 0.0000 0.0000 0.5000
3 V 0.0000 0.5000 0.1195
4 Os 0.0000 0.0000 0.2496

The 10 most intense peaks (10° ≤ 2θ ≤ 90°), low angle first:
2θ (°)  I/Imax  h k l
14.81  46.1  0 0 2
29.88  11.4  0 0 4
30.14  22.0  1 1 0
33.74  33.5  1 1 2
42.96  100.0  1 1 4
43.14  49.6  2 0 0
45.86  12.2  2 0 2
62.66  15.7  2 2 0
78.59  15.7  2 0 8
78.98  31.5  3 1 4